Starting from the GGA-PBE geometry in Alexandria, the powder diffractogram of GdZnGa was simulated for Cu Kα X-rays.
Neutral-atom scattering factors, no anomalous dispersion.

The 10 most intense peaks (10 to 90 degrees two-theta), in order of falling intensity:
hkl 1 0 2, 2θ = 33.81°, intensity 100
hkl 1 1 0, 2θ = 40.58°, intensity 53
hkl 2 0 2, 2θ = 53.82°, intensity 26
hkl 2 1 2, 2θ = 69.53°, intensity 24
hkl 1 1 4, 2θ = 66.19°, intensity 24
hkl 1 0 0, 2θ = 23.10°, intensity 17
hkl 0 0 4, 2θ = 49.88°, intensity 10
hkl 3 0 0, 2θ = 73.84°, intensity 9
hkl 1 0 6, 2θ = 83.13°, intensity 7
hkl 2 2 0, 2θ = 87.83°, intensity 6

Cell and atoms:
```
data_GdZnGa
_symmetry_space_group_name_H-M 'P 63/m m c'
_symmetry_Int_Tables_number 194
_symmetry_space_group_name_Hall '-P 6c 2c'
_cell_length_a 4.4458
_cell_length_b 4.4458
_cell_length_c 7.3124
_cell_angle_alpha 90.00
_cell_angle_beta 90.00
_cell_angle_gamma 120.00
loop_
_atom_site_label
_atom_site_type_symbol
_atom_site_fract_x
_atom_site_fract_y
_atom_site_fract_z
Gd1 Gd 0.0000 0.0000 0.0000
Zn1 Zn 0.3333 0.6667 0.2500
Ga1 Ga 0.3333 0.6667 0.7500
```